No. 1
The following is a simulated powder X-ray diffraction pattern of Nd2MgS4. It was derived from a cell relaxed with GGA-PBE, using CuKα.
Peak positions follow from Bragg's law for the DFT cell and can differ from measured ones.

The 10 most intense peaks (2θ = 10–90°), low angle first:
2theta	intensity
22.9	99
23.0	25
23.5	78
23.9	68
25.0	41
25.6	70
40.5	100
41.3	40
43.3	43
47.2	29

Cell and atoms:
```
Nd2MgS4
1.0
7.624 0.000 0.000
-0.190 8.899 0.000
-1.338 -2.144 11.672
Nd Mg S
8 4 16
Cartesian
0.469 3.264 3.905
0.413 7.913 4.035
0.564 -0.978 11.639
1.836 1.204 7.684
4.260 5.550 3.988
5.532 7.732 0.033
5.683 -1.158 7.637
5.627 3.491 7.767
0.476 3.307 11.594
1.680 5.585 8.003
4.416 1.169 3.669
5.620 3.447 0.078
0.516 3.435 1.223
0.456 7.885 1.366
0.612 3.562 7.033
0.736 -1.252 7.109
1.636 5.593 4.414
2.103 1.197 4.594
1.581 5.509 10.415
1.800 1.301 10.362
4.296 5.454 1.310
4.516 1.246 1.257
3.994 5.558 7.078
4.461 1.161 7.258
5.360 8.006 4.563
5.484 3.193 4.638
5.640 -1.130 10.306
5.580 3.320 10.449
```

No. 2
The following is a simulated powder X-ray diffraction pattern of Er2GaNi2. It was derived from a cell relaxed with GGA-PBE, using CuKα.
Peak positions follow from Bragg's law for the DFT cell and can differ from measured ones.

The 10 most intense peaks (2θ = 10–90°), low angle first:
2theta	intensity
27.2	41
35.1	100
37.1	31
39.6	26
40.4	27
41.8	40
43.6	29
58.5	16
61.1	19
71.5	25

Cell and atoms:
```
Er2GaNi2
1.0
4.156 0.000 0.000
0.000 5.331 0.000
0.000 0.000 8.153
Er Ga Ni
4 2 4
Cartesian
0.000 0.000 1.659
0.000 0.000 6.494
2.078 2.665 2.418
2.078 2.665 5.735
0.000 2.665 0.000
2.078 0.000 4.077
0.000 1.447 4.077
0.000 3.884 4.077
2.078 1.219 0.000
2.078 4.112 0.000
```

No. 3
The following is a simulated powder X-ray diffraction pattern of CeSe2. It was derived from a cell relaxed with GGA-PBE, using CuKα.
Peak positions follow from Bragg's law for the DFT cell and can differ from measured ones.

The 10 most intense peaks (2θ = 10–90°), low angle first:
2theta	intensity
10.2	100
13.2	43
13.4	40
13.6	87
16.9	65
17.1	66
21.5	47
21.7	50
22.4	43
27.3	43

Cell and atoms:
```
CeSe2
1.0
8.691 0.000 0.000
-0.355 9.033 0.000
-0.015 -0.128 9.890
Ce Se
4 8
Cartesian
0.000 0.000 0.000
1.010 2.163 5.557
4.343 -0.025 3.018
7.230 6.651 5.554
-0.341 8.895 4.506
0.776 1.941 8.270
1.841 8.269 1.459
3.565 2.039 4.642
4.688 6.911 4.635
6.558 0.740 1.564
7.465 6.865 8.267
8.410 4.375 4.612
```

No. 4
The following is a simulated powder X-ray diffraction pattern of TeMoWSeS2. It was derived from a cell relaxed with GGA-PBE, using CuKα.
Peak positions follow from Bragg's law for the DFT cell and can differ from measured ones.

The 10 most intense peaks (2θ = 10–90°), low angle first:
2theta	intensity
11.8	100
14.1	22
31.2	37
33.5	17
34.4	13
36.7	78
39.5	19
44.5	40
46.3	13
55.6	23

Cell and atoms:
```
TeMoWSeS2
1.0
3.308 0.000 0.000
-1.654 2.865 0.000
0.000 0.000 37.639
Te Mo W Se S
2 2 2 2 4
Cartesian
0.000 0.000 0.000
0.000 0.000 3.850
0.000 0.000 18.350
0.000 0.000 32.492
0.000 1.910 1.926
0.000 1.910 25.421
0.000 1.910 16.670
0.000 1.910 20.030
0.000 0.000 23.888
0.000 0.000 26.956
0.000 1.910 30.965
0.000 1.910 34.019
```

No. 5
The following is a simulated powder X-ray diffraction pattern of CsAc. It was derived from a cell relaxed with GGA-PBE, using CuKα.
Peak positions follow from Bragg's law for the DFT cell and can differ from measured ones.

The 10 most intense peaks (2θ = 10–90°), low angle first:
2theta	intensity
22.2	60
25.3	33
25.9	100
30.4	63
33.9	31
38.0	39
44.5	29
47.4	18
50.3	41
65.4	19

Cell and atoms:
```
CsAc
1.0
4.069 0.000 0.000
-2.035 3.524 0.000
0.000 0.000 15.999
Cs Ac
2 2
Cartesian
0.000 2.349 0.000
2.035 1.175 8.000
0.000 2.349 12.041
2.035 1.175 4.042
```

No. 6
The following is a simulated powder X-ray diffraction pattern of Ba3InIr2O9. It was derived from a cell relaxed with GGA-PBE, using CuKα.
Peak positions follow from Bragg's law for the DFT cell and can differ from measured ones.

The 10 most intense peaks (2θ = 10–90°), low angle first:
2theta	intensity
18.4	31
29.8	53
30.3	100
35.0	28
43.0	29
47.0	17
53.5	20
53.8	20
56.9	16
63.0	18

Cell and atoms:
```
Ba3InIr2O9
1.0
5.903 0.000 0.000
-2.952 5.112 0.000
0.000 0.000 14.798
Ba In Ir O
6 2 4 18
Cartesian
0.000 0.000 3.699
0.000 0.000 11.098
0.000 3.408 1.295
0.000 3.408 6.103
2.952 1.704 8.694
2.952 1.704 13.502
0.000 0.000 0.000
0.000 0.000 7.399
0.000 3.408 9.759
0.000 3.408 12.437
2.952 1.704 2.360
2.952 1.704 5.039
-1.332 2.639 11.098
0.000 1.751 8.642
0.000 1.751 13.554
-1.435 4.237 8.642
-1.435 4.237 13.554
1.517 0.876 1.243
1.517 0.876 6.156
1.332 2.639 11.098
0.000 4.946 11.098
2.952 0.166 3.699
1.620 2.473 3.699
1.435 4.237 8.642
1.435 4.237 13.554
4.386 0.876 1.243
4.386 0.876 6.156
2.952 3.361 1.243
2.952 3.361 6.156
4.283 2.473 3.699
```

No. 7
The following is a simulated powder X-ray diffraction pattern of ZnCu2SiTe4. It was derived from a cell relaxed with GGA-PBE, using CuKα.
Peak positions follow from Bragg's law for the DFT cell and can differ from measured ones.

The 10 most intense peaks (2θ = 10–90°), low angle first:
2theta	intensity
25.6	100
29.6	7
42.5	68
50.2	31
50.3	15
61.5	7
67.9	12
77.6	14
77.8	7
83.3	7

Cell and atoms:
```
ZnCu2SiTe4
1.0
6.029 0.000 0.000
0.000 6.029 0.000
0.000 0.000 12.017
Zn Cu Si Te
2 4 2 8
Cartesian
0.000 0.000 0.000
3.015 3.015 6.009
0.000 3.015 3.004
0.000 3.015 9.013
3.015 0.000 3.004
3.015 0.000 9.013
0.000 0.000 6.009
3.015 3.015 0.000
1.458 1.458 4.448
1.458 4.571 7.569
1.557 1.557 10.457
1.557 4.473 1.561
4.473 1.557 1.561
4.473 4.473 10.457
4.571 1.458 7.569
4.571 4.571 4.448
```

No. 8
The following is a simulated powder X-ray diffraction pattern of Mg2Ti3MnS8. It was derived from a cell relaxed with GGA-PBE, using CuKα.
Peak positions follow from Bragg's law for the DFT cell and can differ from measured ones.

The 10 most intense peaks (2θ = 10–90°), low angle first:
2theta	intensity
14.4	14
14.9	45
28.1	17
28.6	39
34.6	100
45.4	19
49.1	51
50.3	47
62.4	14
72.9	13

Cell and atoms:
```
Mg2Ti3MnS8
1.0
6.284 -3.631 0.000
6.284 3.631 0.000
-4.184 0.000 6.137
Mg Ti Mn S
2 3 1 8
Cartesian
0.000 0.000 2.305
8.383 0.000 3.832
3.142 1.815 0.000
3.142 -1.815 0.000
6.284 0.000 0.000
4.192 0.000 3.069
2.261 0.000 1.434
5.154 1.670 1.433
0.004 0.000 4.759
3.229 1.670 4.704
5.154 -1.670 1.433
8.379 0.000 1.378
3.229 -1.670 4.704
6.123 0.000 4.703
```

No. 9
The following is a simulated powder X-ray diffraction pattern of SbAsRu. It was derived from a cell relaxed with GGA-PBE, using CuKα.
Peak positions follow from Bragg's law for the DFT cell and can differ from measured ones.

The 10 most intense peaks (2θ = 10–90°), low angle first:
2theta	intensity
21.0	33
30.8	46
32.1	50
32.5	100
35.1	51
35.7	39
44.3	30
45.3	67
48.6	27
51.1	61

Cell and atoms:
```
SbAsRu
1.0
5.793 0.000 0.000
0.000 3.133 0.000
-0.316 0.000 6.525
Sb As Ru
2 2 2
Cartesian
1.017 0.000 0.953
4.460 0.000 5.572
1.669 1.567 4.145
3.809 1.567 2.380
-0.158 0.000 3.262
2.897 1.567 0.000
```

No. 10
The following is a simulated powder X-ray diffraction pattern of Ba2PuZnO6. It was derived from a cell relaxed with GGA-PBE, using CuKα.
Peak positions follow from Bragg's law for the DFT cell and can differ from measured ones.

The 10 most intense peaks (2θ = 10–90°), low angle first:
2theta	intensity
18.2	20
29.9	100
35.2	12
42.8	29
46.9	5
53.1	41
62.2	18
70.5	18
78.4	6
86.1	22

Cell and atoms:
```
Ba2PuZnO6
1.0
0.000 4.224 4.224
4.224 0.000 4.224
4.224 4.224 0.000
Ba Pu Zn O
2 1 1 6
Cartesian
2.112 2.112 2.112
6.336 6.336 6.336
0.000 0.000 0.000
4.224 4.224 4.224
4.224 4.224 2.077
4.224 2.077 4.224
6.372 4.224 4.224
2.077 4.224 4.224
4.224 6.372 4.224
4.224 4.224 6.372
```

No. 11
The following is a simulated powder X-ray diffraction pattern of Nb2TeO8. It was derived from a cell relaxed with GGA-PBE, using CuKα.
Peak positions follow from Bragg's law for the DFT cell and can differ from measured ones.

The 10 most intense peaks (2θ = 10–90°), low angle first:
2theta	intensity
19.6	73
25.5	100
26.4	100
26.7	28
30.9	25
32.3	25
33.6	31
34.2	23
49.2	24
60.8	27

Cell and atoms:
```
Nb2TeO8
1.0
10.021 -3.098 0.000
10.021 3.098 0.000
-0.287 0.000 5.251
Nb Te O
4 2 16
Cartesian
7.146 2.024 4.041
12.464 2.024 3.835
7.290 -2.024 1.416
12.608 -2.024 1.210
9.949 0.906 1.313
9.805 -0.906 3.938
3.086 0.523 2.973
8.852 2.146 0.449
6.046 0.758 4.500
11.046 2.146 2.176
3.229 -0.523 0.348
8.806 0.630 2.981
6.190 -0.758 1.875
10.805 0.630 4.895
8.949 -0.630 0.356
13.565 0.758 3.376
10.948 -0.630 2.270
16.525 0.523 4.903
8.708 -2.146 3.074
13.708 -0.758 0.750
10.902 -2.146 4.802
16.669 -0.523 2.277
```

No. 12
The following is a simulated powder X-ray diffraction pattern of TiVAs2. It was derived from a cell relaxed with GGA-PBE, using CuKα.
Peak positions follow from Bragg's law for the DFT cell and can differ from measured ones.

The 10 most intense peaks (2θ = 10–90°), low angle first:
2theta	intensity
32.7	100
41.3	87
51.9	45
53.2	24
59.1	10
62.7	15
68.4	18
77.5	8
82.5	22
85.7	13

Cell and atoms:
```
TiVAs2
1.0
3.522 0.000 0.000
-1.761 3.050 0.000
0.000 0.000 6.257
Ti V As
1 1 2
Cartesian
0.000 0.000 0.000
0.000 0.000 3.129
0.000 2.033 1.611
1.761 1.017 4.646
```